Entry 1:
Ho3Se4O12F: simulated powder X-ray diffraction pattern (Cu Kα), based on DFT lattice parameters and positions (PBE).
Intensities are scaled so that the largest is 100.

Top 10 peaks for 2θ = 10–80°, sorted by position:
d = 4.430 Å, I 46
d = 3.696 Å, I 93
d = 3.136 Å, I 50
d = 2.996 Å, I 100
d = 2.703 Å, I 70
d = 2.673 Å, I 92
d = 2.558 Å, I 63
d = 1.945 Å, I 50
d = 1.859 Å, I 65
d = 1.738 Å, I 44

Cell and atoms:
a = 10.230 Å, b = 10.230 Å, c = 6.705 Å
α = 90.00°, β = 90.00°, γ = 120.00°
Positions (direct):
Ho  0.076  0.538  0.000
Ho  0.462  0.538  0.000
Ho  0.462  0.924  0.000
Ho  0.538  0.076  0.500
Ho  0.538  0.462  0.500
Ho  0.924  0.462  0.500
Se  0.151  0.302  0.232
Se  0.151  0.849  0.232
Se  0.302  0.151  0.732
Se  0.333  0.667  0.556
Se  0.667  0.333  0.056
Se  0.698  0.849  0.232
Se  0.849  0.151  0.732
Se  0.849  0.698  0.732
O  0.079  0.414  0.304
O  0.079  0.665  0.304
O  0.160  0.580  0.675
O  0.178  0.357  0.986
O  0.178  0.822  0.986
O  0.335  0.414  0.304
O  0.335  0.921  0.304
O  0.357  0.178  0.486
O  0.414  0.079  0.804
O  0.414  0.335  0.804
O  0.420  0.580  0.675
O  0.420  0.840  0.675
O  0.580  0.160  0.175
O  0.580  0.420  0.175
O  0.586  0.665  0.304
O  0.586  0.921  0.304
O  0.643  0.822  0.986
O  0.665  0.079  0.804
O  0.665  0.586  0.804
O  0.822  0.178  0.486
O  0.822  0.643  0.486
O  0.840  0.420  0.175
O  0.921  0.335  0.804
O  0.921  0.586  0.804
F  0.333  0.667  0.051
F  0.667  0.333  0.551

---

Entry 2:
PrHoSbF2: simulated powder X-ray diffraction pattern (Cu Kα), based on DFT lattice parameters and positions (PBE).
Intensities are scaled so that the largest is 100.

Top 10 peaks for 2θ = 10–80°, sorted by position:
d = 3.174 Å, I 100
d = 2.520 Å, I 46
d = 2.043 Å, I 38
d = 1.982 Å, I 27
d = 1.718 Å, I 17
d = 1.587 Å, I 11
d = 1.423 Å, I 9
d = 1.348 Å, I 13
d = 1.315 Å, I 14
d = 1.253 Å, I 10

Cell and atoms:
a = 4.086 Å, b = 4.086 Å, c = 7.178 Å
α = 90.00°, β = 90.00°, γ = 120.00°
Positions (direct):
Pr  0.000  0.000  0.000
Ho  0.667  0.333  0.467
Sb  0.333  0.667  0.721
F  0.000  0.000  0.350
F  0.667  0.333  0.152

---

Entry 3:
RbHo3F10: simulated powder X-ray diffraction pattern (Cu Kα), based on DFT lattice parameters and positions (PBE).
Intensities are scaled so that the largest is 100.

Top 10 peaks for 2θ = 10–80°, sorted by position:
d = 6.679 Å, I 20
d = 4.094 Å, I 34
d = 3.490 Å, I 38
d = 3.339 Å, I 100
d = 2.807 Å, I 28
d = 2.588 Å, I 35
d = 2.149 Å, I 19
d = 1.928 Å, I 34
d = 1.745 Å, I 57
d = 1.403 Å, I 16

Cell and atoms:
a = 7.711 Å, b = 7.711 Å, c = 4.094 Å
α = 90.05°, β = 90.05°, γ = 60.02°
Positions (direct):
Rb  0.000  0.000  0.000
Ho  0.505  0.505  0.547
Ho  0.506  0.982  0.540
Ho  0.982  0.506  0.540
F  0.072  0.458  0.041
F  0.183  0.627  0.572
F  0.185  0.185  0.564
F  0.367  0.812  0.357
F  0.458  0.072  0.041
F  0.460  0.460  0.047
F  0.627  0.183  0.572
F  0.665  0.665  0.771
F  0.812  0.367  0.357
F  0.813  0.813  0.347

---

Entry 4:
YHoS2F2: simulated powder X-ray diffraction pattern (Cu Kα), based on DFT lattice parameters and positions (PBE).
Intensities are scaled so that the largest is 100.

Top 10 peaks for 2θ = 10–80°, sorted by position:
d = 6.788 Å, I 20
d = 3.394 Å, I 34
d = 3.278 Å, I 100
d = 2.647 Å, I 56
d = 2.514 Å, I 27
d = 2.087 Å, I 63
d = 1.936 Å, I 40
d = 1.871 Å, I 32
d = 1.625 Å, I 27
d = 1.346 Å, I 24

Cell and atoms:
a = 3.743 Å, b = 3.743 Å, c = 6.788 Å
α = 90.00°, β = 90.00°, γ = 90.00°
Positions (direct):
Y  0.000  0.000  0.000
Ho  0.500  0.500  0.543
S  0.000  0.000  0.414
S  0.500  0.500  0.130
F  0.000  0.500  0.768
F  0.500  0.000  0.768

---

Entry 5:
K3IrIF6: simulated powder X-ray diffraction pattern (Cu Kα), based on DFT lattice parameters and positions (PBE).
Intensities are scaled so that the largest is 100.

Top 10 peaks for 2θ = 10–80°, sorted by position:
d = 4.131 Å, I 100
d = 4.024 Å, I 69
d = 3.003 Å, I 27
d = 2.845 Å, I 42
d = 2.407 Å, I 33
d = 2.343 Å, I 61
d = 2.065 Å, I 33
d = 1.800 Å, I 22
d = 1.573 Å, I 19
d = 1.544 Å, I 28

Cell and atoms:
a = 8.048 Å, b = 8.048 Å, c = 6.006 Å
α = 90.00°, β = 90.00°, γ = 90.00°
Positions (direct):
K  0.000  0.000  0.000
K  0.153  0.347  0.500
K  0.347  0.847  0.500
K  0.500  0.500  0.000
K  0.653  0.153  0.500
K  0.847  0.653  0.500
Ir  0.000  0.500  0.000
Ir  0.500  0.000  0.000
I  0.000  0.000  0.500
I  0.500  0.500  0.500
F  0.119  0.619  0.240
F  0.119  0.619  0.760
F  0.172  0.328  0.000
F  0.328  0.828  0.000
F  0.381  0.119  0.240
F  0.381  0.119  0.760
F  0.619  0.881  0.240
F  0.619  0.881  0.760
F  0.672  0.172  0.000
F  0.828  0.672  0.000
F  0.881  0.381  0.240
F  0.881  0.381  0.760

---

Entry 6:
K3OsIF6: simulated powder X-ray diffraction pattern (Cu Kα), based on DFT lattice parameters and positions (PBE).
Intensities are scaled so that the largest is 100.

Top 10 peaks for 2θ = 10–80°, sorted by position:
d = 4.133 Å, I 100
d = 4.028 Å, I 68
d = 3.003 Å, I 27
d = 2.848 Å, I 42
d = 2.408 Å, I 33
d = 2.345 Å, I 61
d = 2.066 Å, I 33
d = 1.801 Å, I 22
d = 1.574 Å, I 19
d = 1.545 Å, I 28

Cell and atoms:
a = 8.055 Å, b = 8.055 Å, c = 6.006 Å
α = 90.00°, β = 90.00°, γ = 90.00°
Positions (direct):
K  0.000  0.000  0.000
K  0.155  0.345  0.500
K  0.345  0.845  0.500
K  0.500  0.500  0.000
K  0.655  0.155  0.500
K  0.845  0.655  0.500
Os  0.000  0.500  0.000
Os  0.500  0.000  0.000
I  0.000  0.000  0.500
I  0.500  0.500  0.500
F  0.119  0.619  0.241
F  0.119  0.619  0.759
F  0.171  0.329  0.000
F  0.329  0.829  0.000
F  0.381  0.119  0.241
F  0.381  0.119  0.759
F  0.619  0.881  0.241
F  0.619  0.881  0.759
F  0.671  0.171  0.000
F  0.829  0.671  0.000
F  0.881  0.381  0.241
F  0.881  0.381  0.759

---

Entry 7:
Tm2PIF: simulated powder X-ray diffraction pattern (Cu Kα), based on DFT lattice parameters and positions (PBE).
Intensities are scaled so that the largest is 100.

Top 10 peaks for 2θ = 10–80°, sorted by position:
d = 3.359 Å, I 37
d = 3.131 Å, I 53
d = 2.880 Å, I 17
d = 2.652 Å, I 100
d = 2.186 Å, I 27
d = 1.939 Å, I 40
d = 1.609 Å, I 18
d = 1.565 Å, I 20
d = 1.537 Å, I 15
d = 1.218 Å, I 17

Cell and atoms:
a = 3.879 Å, b = 3.879 Å, c = 8.641 Å
α = 90.00°, β = 90.00°, γ = 120.00°
Positions (direct):
Tm  0.000  0.000  0.000
Tm  0.333  0.667  0.649
P  0.667  0.333  0.822
I  0.000  0.000  0.407
F  0.333  0.667  0.103

---

Entry 8:
Rb2PdI2F2: simulated powder X-ray diffraction pattern (Cu Kα), based on DFT lattice parameters and positions (PBE).
Intensities are scaled so that the largest is 100.

Top 10 peaks for 2θ = 10–80°, sorted by position:
d = 5.707 Å, I 18
d = 4.311 Å, I 17
d = 4.163 Å, I 17
d = 3.363 Å, I 100
d = 2.854 Å, I 34
d = 2.787 Å, I 27
d = 2.652 Å, I 34
d = 2.316 Å, I 31
d = 2.081 Å, I 16
d = 1.730 Å, I 18

Cell and atoms:
a = 7.152 Å, b = 7.152 Å, c = 4.163 Å
α = 90.00°, β = 90.00°, γ = 105.87°
Positions (direct):
Rb  0.000  0.500  0.000
Rb  0.500  0.000  0.000
Pd  0.000  0.000  0.500
I  0.303  0.303  0.500
I  0.697  0.697  0.500
F  0.179  0.821  0.500
F  0.821  0.179  0.500